# 1
The following is a computed powder diffraction line list of NdGa8Fe2. It was derived from a crystal structure in OQMD, relaxed with PBE, using Cu Kα (weighted mean of Kα1 and Kα2).
Lines closer than 0.1° are merged.

Main lines, by intensity (5 to 70 degrees two-theta):
2θ/deg  I (rel.)
36.25  100.0
34.16  75.9
45.03  62.4
37.00  37.2
46.44  33.5
44.55  31.4
44.16  29.8
36.45  28.4
44.37  28.1
66.68  20.8

Structural model:
Lattice parameters (Å, degrees): 12.471 14.415 4.027 90.00 90.00 90.00
Fractional positions:
Nd 0.157 0.181 0.000
Nd 0.343 0.681 0.000
Nd 0.657 0.319 0.000
Nd 0.843 0.819 0.000
Ga 0.000 0.000 0.000
Ga 0.000 0.500 0.500
Ga 0.025 0.867 0.500
Ga 0.049 0.318 0.500
Ga 0.098 0.746 0.000
Ga 0.163 0.454 0.000
Ga 0.164 0.621 0.500
Ga 0.168 0.009 0.500
Ga 0.239 0.826 0.500
Ga 0.261 0.326 0.500
Ga 0.332 0.509 0.500
Ga 0.336 0.121 0.500
Ga 0.337 0.954 0.000
Ga 0.402 0.246 0.000
Ga 0.451 0.818 0.500
Ga 0.475 0.367 0.500
Ga 0.500 0.000 0.500
Ga 0.500 0.500 0.000
Ga 0.525 0.633 0.500
Ga 0.549 0.182 0.500
Ga 0.598 0.754 0.000
Ga 0.663 0.046 0.000
Ga 0.664 0.879 0.500
Ga 0.668 0.491 0.500
Ga 0.739 0.674 0.500
Ga 0.761 0.174 0.500
Ga 0.832 0.991 0.500
Ga 0.836 0.379 0.500
Ga 0.837 0.546 0.000
Ga 0.902 0.254 0.000
Ga 0.951 0.682 0.500
Ga 0.975 0.133 0.500
Fe 0.034 0.592 0.000
Fe 0.152 0.903 0.000
Fe 0.348 0.403 0.000
Fe 0.466 0.092 0.000
Fe 0.534 0.908 0.000
Fe 0.652 0.597 0.000
Fe 0.848 0.097 0.000
Fe 0.966 0.408 0.000

---

# 2
The following is a computed powder diffraction line list of AlReI7. It was derived from a crystal structure in OQMD, relaxed with PBE, using Cu Kα (weighted mean of Kα1 and Kα2).
Lines closer than 0.1° are merged.

Main lines, by intensity (5 to 70 degrees two-theta):
2θ/deg  I (rel.)
10.52  100.0
11.30  68.7
14.04  66.3
25.91  62.7
24.74  60.5
43.03  56.4
29.98  52.4
16.65  47.9
17.15  39.0
34.51  37.2

Structural model:
Lattice parameters (Å, degrees): 7.956 6.879 17.078 90.00 100.07 90.00
Fractional positions:
Al 0.000 0.013 0.000
Al 0.000 0.987 0.500
Re 0.237 0.422 0.129
Re 0.237 0.578 0.629
I 0.007 0.365 0.503
I 0.007 0.635 0.003
I 0.135 0.363 0.739
I 0.135 0.637 0.239
I 0.294 0.178 0.999
I 0.294 0.822 0.499
I 0.424 0.189 0.231
I 0.424 0.811 0.731
I 0.496 0.362 0.606
I 0.496 0.638 0.106
I 0.783 0.103 0.881
I 0.783 0.897 0.381
I 0.943 0.178 0.130
I 0.943 0.822 0.630

---

# 3
The following is a computed powder diffraction line list of DyAuSeO. It was derived from a crystal structure in OQMD, relaxed with PBE, using Cu Kα (weighted mean of Kα1 and Kα2).
Lines closer than 0.1° are merged.

Main lines, by intensity (5 to 70 degrees two-theta):
2θ/deg  I (rel.)
31.82  100.0
29.20  97.6
33.27  94.7
46.70  80.4
37.12  66.1
36.07  65.8
18.51  53.2
42.85  43.8
9.23  43.8
27.92  40.9

Structural model:
Lattice parameters (Å, degrees): 19.171 3.972 3.972 89.86 90.00 90.00
Fractional positions:
Dy 0.057 0.250 0.750
Dy 0.443 0.750 0.250
Dy 0.557 0.250 0.750
Dy 0.943 0.750 0.250
Au 0.250 0.005 0.001
Au 0.250 0.505 0.501
Au 0.750 0.001 0.005
Au 0.750 0.501 0.505
Se 0.139 0.752 0.249
Se 0.361 0.252 0.749
Se 0.639 0.749 0.252
Se 0.861 0.249 0.752
O 0.000 0.250 0.250
O 0.000 0.750 0.750
O 0.500 0.250 0.250
O 0.500 0.750 0.750

---

# 4
The following is a computed powder diffraction line list of SrReNO. It was derived from a crystal structure in OQMD, relaxed with PBE, using Cu Kα (weighted mean of Kα1 and Kα2).
Lines closer than 0.1° are merged.

Main lines, by intensity (5 to 70 degrees two-theta):
2θ/deg  I (rel.)
32.01  100.0
31.90  29.6
33.13  25.1
46.66  23.0
22.84  21.9
56.92  20.1
58.49  17.5
66.94  15.3
45.14  13.5
56.33  11.8

Structural model:
Lattice parameters (Å, degrees): 5.610 4.017 5.407 90.00 90.00 90.00
Fractional positions:
Sr 0.250 0.000 0.250
Sr 0.750 0.000 0.750
Re 0.250 0.500 0.730
Re 0.750 0.500 0.270
N 0.000 0.500 0.500
N 0.500 0.500 0.500
O 0.250 0.000 0.797
O 0.750 0.000 0.203

---

# 5
The following is a computed powder diffraction line list of TaBi4ClO8. It was derived from a crystal structure in OQMD, relaxed with PBE, using Cu Kα (weighted mean of Kα1 and Kα2).
Lines closer than 0.1° are merged.

Main lines, by intensity (5 to 70 degrees two-theta):
2θ/deg  I (rel.)
29.66  100.0
26.07  24.9
32.62  24.8
46.65  20.1
32.41  19.5
56.80  19.2
56.40  17.0
56.11  13.0
31.36  13.0
45.89  12.0

Structural model:
Lattice parameters (Å, degrees): 28.523 5.525 5.489 90.00 90.00 90.00
Fractional positions:
Ta 0.250 0.242 0.000
Ta 0.250 0.742 0.500
Ta 0.750 0.258 0.000
Ta 0.750 0.758 0.500
Bi 0.066 0.264 0.007
Bi 0.066 0.764 0.490
Bi 0.156 0.304 0.518
Bi 0.157 0.804 0.980
Bi 0.343 0.304 0.480
Bi 0.344 0.804 0.018
Bi 0.434 0.264 0.990
Bi 0.434 0.764 0.507
Bi 0.566 0.236 0.007
Bi 0.566 0.736 0.490
Bi 0.656 0.196 0.518
Bi 0.657 0.696 0.980
Bi 0.843 0.196 0.480
Bi 0.844 0.696 0.018
Bi 0.934 0.236 0.990
Bi 0.934 0.736 0.507
Cl 0.000 0.250 0.498
Cl 0.000 0.750 0.998
Cl 0.500 0.250 0.498
Cl 0.500 0.750 0.998
O 0.103 0.003 0.749
O 0.103 0.503 0.748
O 0.105 0.514 0.250
O 0.106 0.015 0.247
O 0.183 0.193 0.905
O 0.183 0.693 0.594
O 0.235 0.466 0.253
O 0.235 0.966 0.247
O 0.265 0.466 0.747
O 0.265 0.966 0.753
O 0.317 0.193 0.094
O 0.317 0.693 0.405
O 0.394 0.515 0.747
O 0.395 0.014 0.750
O 0.397 0.003 0.248
O 0.397 0.503 0.249
O 0.603 0.497 0.749
O 0.603 0.997 0.748
O 0.605 0.986 0.250
O 0.606 0.485 0.247
O 0.683 0.307 0.905
O 0.683 0.807 0.594
O 0.735 0.034 0.253
O 0.735 0.534 0.247
O 0.765 0.034 0.747
O 0.765 0.534 0.753
O 0.817 0.307 0.094
O 0.817 0.807 0.405
O 0.894 0.985 0.747
O 0.895 0.486 0.750
O 0.897 0.497 0.248
O 0.897 0.997 0.249

---

# 6
The following is a computed powder diffraction line list of LaCuSn2Pd. It was derived from a crystal structure in OQMD, relaxed with PBE, using Cu Kα (weighted mean of Kα1 and Kα2).
Lines closer than 0.1° are merged.

Main lines, by intensity (5 to 70 degrees two-theta):
2θ/deg  I (rel.)
32.17  100.0
32.45  85.4
32.03  71.4
39.41  59.6
39.00  59.0
56.65  39.7
43.87  22.7
44.29  22.4
66.90  19.1
47.24  18.3

Structural model:
Lattice parameters (Å, degrees): 4.619 4.573 10.607 90.00 90.77 90.00
Fractional positions:
La 0.242 0.250 0.244
La 0.758 0.750 0.756
Cu 0.255 0.250 0.629
Cu 0.745 0.750 0.371
Sn 0.250 0.750 0.499
Sn 0.269 0.250 0.869
Sn 0.731 0.750 0.131
Sn 0.750 0.250 0.501
Pd 0.226 0.750 0.001
Pd 0.774 0.250 0.999

---

# 7
The following is a computed powder diffraction line list of CuBiPF. It was derived from a crystal structure in OQMD, relaxed with PBE, using Cu Kα (weighted mean of Kα1 and Kα2).
Lines closer than 0.1° are merged.

Main lines, by intensity (5 to 70 degrees two-theta):
2θ/deg  I (rel.)
30.69  100.0
29.21  67.4
29.93  52.7
51.76  45.8
36.90  41.9
19.99  36.9
40.62  31.6
22.05  28.6
53.21  19.0
33.78  18.8

Structural model:
Lattice parameters (Å, degrees): 8.062 16.858 4.443 90.00 90.00 90.00
Fractional positions:
Cu 0.063 0.123 0.000
Cu 0.068 0.626 0.000
Cu 0.432 0.126 0.000
Cu 0.437 0.623 0.000
Cu 0.563 0.377 0.000
Cu 0.568 0.874 0.000
Cu 0.932 0.374 0.000
Cu 0.937 0.877 0.000
Bi 0.247 0.262 0.500
Bi 0.248 0.488 0.500
Bi 0.252 0.988 0.500
Bi 0.253 0.762 0.500
Bi 0.747 0.238 0.500
Bi 0.748 0.012 0.500
Bi 0.752 0.512 0.500
Bi 0.753 0.738 0.500
P 0.007 0.125 0.500
P 0.012 0.625 0.500
P 0.488 0.125 0.500
P 0.493 0.625 0.500
P 0.507 0.375 0.500
P 0.512 0.875 0.500
P 0.988 0.375 0.500
P 0.993 0.875 0.500
F 0.234 0.284 0.000
F 0.238 0.463 0.000
F 0.262 0.963 0.000
F 0.266 0.784 0.000
F 0.734 0.216 0.000
F 0.738 0.037 0.000
F 0.762 0.537 0.000
F 0.766 0.716 0.000

---

# 8
The following is a computed powder diffraction line list of TlSi5Mo3. It was derived from a crystal structure in OQMD, relaxed with PBE, using Cu Kα (weighted mean of Kα1 and Kα2).
Lines closer than 0.1° are merged.

Main lines, by intensity (5 to 70 degrees two-theta):
2θ/deg  I (rel.)
23.45  100.0
47.96  77.3
35.84  56.2
38.15  51.8
27.97  35.9
46.87  27.7
53.34  22.4
32.88  21.6
33.93  18.9
68.69  17.7

Structural model:
Lattice parameters (Å, degrees): 5.448 5.448 6.379 90.00 90.00 120.00
Fractional positions:
Tl 0.000 0.000 0.000
Si 0.000 0.000 0.500
Si 0.333 0.667 0.185
Si 0.333 0.667 0.815
Si 0.667 0.333 0.185
Si 0.667 0.333 0.815
Mo 0.000 0.500 0.500
Mo 0.500 0.000 0.500
Mo 0.500 0.500 0.500